Diffraction record for SnIr2Se5. The XRD peak list is simulated, not measured: it uses DFT lattice parameters and positions (PBE) and Cu Kα.

Cell and atoms:
a = 7.7507 Å, b = 3.8140 Å, c = 13.8698 Å
α = 90.00°, β = 101.63°, γ = 90.00°
Space group P2/m (No. 10)
Inequivalent atoms, fractional coordinates:
Sn 0.1623 0.0000 0.3123
Ir 0.2485 0.0000 0.1364
Ir 0.2563 0.5000 0.8614
Se 0.0433 0.5000 0.0970
Se 0.1913 0.0000 0.7377
Se 0.2375 0.5000 0.4365
Se 0.3337 0.0000 0.9745
Se 0.4588 0.5000 0.2025

Peak list (10 most intense, 10 to 90 degrees two-theta, in order of rising 2θ)
2θ/deg  I/Imax  hkl
23.44  78  2 0 0
27.55  51  1 1 1
30.39  100  1 1 2
30.65  36  0 1 3
40.54  50  1 1 -5
44.49  52  1 1 5
47.23  55  3 1 2
47.69  43  0 2 0
48.15  31  4 0 -3
50.11  60  3 1 -5